LaNd12In3: computed X-ray diffraction stick pattern (Cu Kα X-rays), based on a DFT-relaxed cell (PBE, Alexandria).
Lines closer than 0.1° are merged.

a b c (Å): 5.005 5.005 20.550
angles (deg): 90.00 90.00 90.00
Sites, in units of the cell vectors:
La 0.000 0.000 0.000
Nd 0.000 0.500 0.134
Nd 0.000 0.500 0.378
Nd 0.000 0.500 0.622
Nd 0.000 0.500 0.866
Nd 0.500 0.000 0.134
Nd 0.500 0.000 0.378
Nd 0.500 0.000 0.622
Nd 0.500 0.000 0.866
Nd 0.500 0.500 0.000
Nd 0.500 0.500 0.258
Nd 0.500 0.500 0.500
Nd 0.500 0.500 0.742
In 0.000 0.000 0.257
In 0.000 0.000 0.500
In 0.000 0.000 0.743

Peak list (10 most intense, 2θ from 10° to 90°, sorted by position)
- 2θ 30.68, I 1000
- 2θ 34.93, I 164
- 2θ 35.88, I 337
- 2θ 50.94, I 224
- 2θ 51.65, I 118
- 2θ 60.01, I 123
- 2θ 61.28, I 275
- 2θ 63.88, I 113
- 2θ 83.10, I 96
- 2θ 87.09, I 67



CaLa2Sn3Pd6: computed X-ray diffraction stick pattern (Cu Kα X-rays), based on a DFT-relaxed cell (PBE, Alexandria).
Lines closer than 0.1° are merged.

a b c (Å): 4.134 4.134 17.944
angles (deg): 90.00 90.00 90.00
Sites, in units of the cell vectors:
Ca 0.000 0.000 0.000
La 0.000 0.000 0.319
La 0.000 0.000 0.681
Sn 0.500 0.500 0.209
Sn 0.500 0.500 0.500
Sn 0.500 0.500 0.791
Pd 0.000 0.500 0.120
Pd 0.000 0.500 0.880
Pd 0.500 0.000 0.120
Pd 0.500 0.000 0.880
Pd 0.500 0.500 0.358
Pd 0.500 0.500 0.642

Peak list (10 most intense, 2θ from 10° to 90°, sorted by position)
- 2θ 19.79, I 341
- 2θ 26.21, I 720
- 2θ 31.00, I 1000
- 2θ 34.14, I 527
- 2θ 36.70, I 419
- 2θ 41.45, I 545
- 2θ 43.28, I 432
- 2θ 43.80, I 994
- 2θ 47.16, I 495
- 2θ 61.88, I 335